1.
The following is a computed powder diffractogram of K4Zn3HgF12. It was derived from a structure optimized by DFT (PBE), using CuKα.
Peak positions follow from Bragg's law for the DFT cell and can differ from measured ones.

Principal peaks in the range 2θ = 10–80°, sorted by position:
14.7 deg, d = 6.011 Å, rel. 27
20.9 deg, d = 4.250 Å, rel. 51
25.7 deg, d = 3.470 Å, rel. 16
29.7 deg, d = 3.006 Å, rel. 100
39.7 deg, d = 2.272 Å, rel. 14
42.5 deg, d = 2.125 Å, rel. 47
47.9 deg, d = 1.901 Å, rel. 23
52.8 deg, d = 1.735 Å, rel. 39
61.7 deg, d = 1.503 Å, rel. 28
70.0 deg, d = 1.344 Å, rel. 17

Structural model:
Cell: 7.362 7.362 7.362 Å, 109.47 109.47 109.47°
Sites, in units of the cell vectors:
1 K 0.000 0.000 0.500
2 K 0.000 0.500 0.000
3 K 0.500 0.000 0.000
4 K 0.500 0.500 0.500
5 Zn 0.000 0.500 0.500
6 Zn 0.500 0.000 0.500
7 Zn 0.500 0.500 0.000
8 Hg 0.000 0.000 0.000
9 F 0.000 0.267 0.267
10 F 0.000 0.733 0.733
11 F 0.250 0.500 0.750
12 F 0.250 0.750 0.500
13 F 0.267 0.000 0.267
14 F 0.267 0.267 0.000
15 F 0.500 0.250 0.750
16 F 0.500 0.750 0.250
17 F 0.733 0.000 0.733
18 F 0.733 0.733 0.000
19 F 0.750 0.250 0.500
20 F 0.750 0.500 0.250

2.
The following is a computed powder diffractogram of K2ZnHgF6. It was derived from a structure optimized by DFT (PBE), using CuKα.
Peak positions follow from Bragg's law for the DFT cell and can differ from measured ones.

Principal peaks in the range 2θ = 10–80°, sorted by position:
17.6 deg, d = 5.031 Å, rel. 28
20.4 deg, d = 4.357 Å, rel. 62
29.0 deg, d = 3.081 Å, rel. 100
34.1 deg, d = 2.627 Å, rel. 23
41.5 deg, d = 2.178 Å, rel. 41
45.4 deg, d = 1.999 Å, rel. 13
46.6 deg, d = 1.948 Å, rel. 29
51.4 deg, d = 1.779 Å, rel. 40
60.1 deg, d = 1.541 Å, rel. 21
68.1 deg, d = 1.378 Å, rel. 18

Structural model:
Cell: 6.155 8.715 6.166 Å, 90.00 90.00 90.00°
Sites, in units of the cell vectors:
1 K 0.250 0.001 0.247
2 K 0.250 0.499 0.247
3 K 0.750 0.501 0.753
4 K 0.750 0.999 0.753
5 Zn 0.250 0.750 0.752
6 Zn 0.750 0.250 0.248
7 Hg 0.250 0.250 0.748
8 Hg 0.750 0.750 0.252
9 F 0.014 0.750 0.518
10 F 0.016 0.750 0.988
11 F 0.250 0.515 0.753
12 F 0.250 0.985 0.753
13 F 0.484 0.750 0.988
14 F 0.486 0.750 0.518
15 F 0.514 0.250 0.482
16 F 0.516 0.250 0.012
17 F 0.750 0.015 0.247
18 F 0.750 0.485 0.247
19 F 0.984 0.250 0.012
20 F 0.986 0.250 0.482

3.
The following is a computed powder diffractogram of Rb2LaHgF8. It was derived from a structure optimized by DFT (PBE), using CuKα.
Peak positions follow from Bragg's law for the DFT cell and can differ from measured ones.

Principal peaks in the range 2θ = 10–80°, sorted by position:
13.6 deg, d = 6.534 Å, rel. 64
24.4 deg, d = 3.648 Å, rel. 100
24.7 deg, d = 3.600 Å, rel. 96
26.1 deg, d = 3.409 Å, rel. 81
26.3 deg, d = 3.392 Å, rel. 82
27.3 deg, d = 3.267 Å, rel. 41
39.0 deg, d = 2.308 Å, rel. 48
41.1 deg, d = 2.194 Å, rel. 38
41.7 deg, d = 2.164 Å, rel. 35
43.4 deg, d = 2.083 Å, rel. 33

Structural model:
Cell: 4.153 6.568 8.360 Å, 85.36 89.15 86.50°
Sites, in units of the cell vectors:
1 Rb 0.002 0.001 0.252
2 Rb 0.998 0.999 0.748
3 La 0.500 0.500 0.000
4 Hg 0.500 0.500 0.500
5 F 0.001 0.299 0.972
6 F 0.087 0.696 0.519
7 F 0.457 0.322 0.725
8 F 0.474 0.273 0.224
9 F 0.526 0.727 0.776
10 F 0.543 0.678 0.275
11 F 0.913 0.304 0.481
12 F 0.999 0.701 0.028

4.
The following is a computed powder diffractogram of Li3HgF4. It was derived from a structure optimized by DFT (PBE), using CuKα.
Peak positions follow from Bragg's law for the DFT cell and can differ from measured ones.

Principal peaks in the range 2θ = 10–80°, sorted by position:
20.7 deg, d = 4.297 Å, rel. 100
21.8 deg, d = 4.072 Å, rel. 18
24.9 deg, d = 3.577 Å, rel. 41
33.3 deg, d = 2.687 Å, rel. 48
37.6 deg, d = 2.392 Å, rel. 33
41.4 deg, d = 2.180 Å, rel. 47
42.1 deg, d = 2.149 Å, rel. 24
52.7 deg, d = 1.738 Å, rel. 17
58.2 deg, d = 1.586 Å, rel. 13
62.4 deg, d = 1.489 Å, rel. 16

Structural model:
Cell: 5.420 5.420 5.420 Å, 124.36 124.36 82.60°
Sites, in units of the cell vectors:
1 Li 0.000 0.000 0.000
2 Li 0.250 0.750 0.500
3 Li 0.750 0.250 0.500
4 Hg 0.500 0.500 0.000
5 F 0.047 0.047 0.402
6 F 0.356 0.953 0.000
7 F 0.644 0.644 0.598
8 F 0.953 0.356 0.000

5.
The following is a computed powder diffractogram of LiHgF6. It was derived from a structure optimized by DFT (PBE), using CuKα.
Peak positions follow from Bragg's law for the DFT cell and can differ from measured ones.

Principal peaks in the range 2θ = 10–80°, sorted by position:
19.0 deg, d = 4.665 Å, rel. 39
20.8 deg, d = 4.266 Å, rel. 100
23.6 deg, d = 3.772 Å, rel. 89
32.5 deg, d = 2.757 Å, rel. 34
37.9 deg, d = 2.374 Å, rel. 22
39.9 deg, d = 2.262 Å, rel. 50
40.8 deg, d = 2.211 Å, rel. 18
52.9 deg, d = 1.732 Å, rel. 30
55.9 deg, d = 1.645 Å, rel. 16
62.2 deg, d = 1.492 Å, rel. 18

Structural model:
Cell: 5.539 5.539 5.539 Å, 55.66 55.66 55.66°
Sites, in units of the cell vectors:
1 Li 0.000 0.000 0.000
2 Hg 0.500 0.500 0.500
3 F 0.102 0.398 0.745
4 F 0.255 0.898 0.602
5 F 0.398 0.745 0.102
6 F 0.602 0.255 0.898
7 F 0.745 0.102 0.398
8 F 0.898 0.602 0.255

6.
The following is a computed powder diffractogram of Li4Hg3F12. It was derived from a structure optimized by DFT (PBE), using CuKα.
Peak positions follow from Bragg's law for the DFT cell and can differ from measured ones.

Principal peaks in the range 2θ = 10–80°, sorted by position:
15.9 deg, d = 5.580 Å, rel. 72
22.5 deg, d = 3.945 Å, rel. 100
27.7 deg, d = 3.221 Å, rel. 36
32.1 deg, d = 2.790 Å, rel. 87
39.6 deg, d = 2.278 Å, rel. 57
42.9 deg, d = 2.109 Å, rel. 20
46.0 deg, d = 1.973 Å, rel. 28
51.8 deg, d = 1.764 Å, rel. 44
57.2 deg, d = 1.611 Å, rel. 49
71.8 deg, d = 1.315 Å, rel. 27

Structural model:
Cell: 6.834 6.834 6.834 Å, 109.47 109.47 109.47°
Sites, in units of the cell vectors:
1 Li 0.000 0.000 0.500
2 Li 0.000 0.500 0.000
3 Li 0.500 0.000 0.000
4 Li 0.500 0.500 0.500
5 Hg 0.000 0.500 0.500
6 Hg 0.500 0.000 0.500
7 Hg 0.500 0.500 0.000
8 F 0.113 0.311 0.801
9 F 0.199 0.510 0.311
10 F 0.199 0.887 0.689
11 F 0.311 0.199 0.510
12 F 0.311 0.801 0.113
13 F 0.490 0.689 0.801
14 F 0.510 0.311 0.199
15 F 0.689 0.199 0.887
16 F 0.689 0.801 0.490
17 F 0.801 0.113 0.311
18 F 0.801 0.490 0.689
19 F 0.887 0.689 0.199